1.
This entry pairs a crystal structure of NdBe3Rh3 with its theoretical powder XRD pattern. Radiation: Cu Kα X-rays. Structure: a structure optimized by DFT (PBE).
Peak positions follow from Bragg's law for the DFT cell and can differ from measured ones.

Crystal structure
Cell: 6.046 6.046 6.046 Å, 90.00 90.00 90.00°
Atoms (fractional coordinates):
1 Nd 0.000 0.000 0.000
2 Nd 0.500 0.500 0.500
3 Be 0.000 0.250 0.500
4 Be 0.000 0.750 0.500
5 Be 0.250 0.500 0.000
6 Be 0.500 0.000 0.250
7 Be 0.500 0.000 0.750
8 Be 0.750 0.500 0.000
9 Rh 0.000 0.500 0.250
10 Rh 0.000 0.500 0.750
11 Rh 0.250 0.000 0.500
12 Rh 0.500 0.250 0.000
13 Rh 0.500 0.750 0.000
14 Rh 0.750 0.000 0.500

Most intense lines, 10° ≤ 2θ ≤ 90°, in order of rising 2θ:
- 29.55°, I = 44
- 33.13°, I = 78
- 36.40°, I = 100
- 52.42°, I = 6
- 54.74°, I = 18
- 56.99°, I = 54
- 61.33°, I = 19
- 69.53°, I = 15
- 71.51°, I = 16
- 73.46°, I = 13
- 86.73°, I = 15
- 88.59°, I = 16

---

2.
This entry pairs a crystal structure of TbPr3Bi4 with its theoretical powder XRD pattern. Radiation: Cu Kα X-rays. Structure: a structure optimized by DFT (PBE).
Peak positions follow from Bragg's law for the DFT cell and can differ from measured ones.

Crystal structure
Cell: 7.975 7.975 4.609 Å, 90.00 90.00 109.49°
Atoms (fractional coordinates):
1 Tb 0.000 0.000 0.000
2 Pr 0.000 0.500 0.500
3 Pr 0.500 0.000 0.500
4 Pr 0.500 0.500 0.000
5 Bi 0.244 0.244 0.500
6 Bi 0.247 0.753 0.000
7 Bi 0.753 0.247 0.000
8 Bi 0.756 0.756 0.500

Most intense lines, 10° ≤ 2θ ≤ 90°, in order of rising 2θ:
- 23.66°, I = 5
- 27.38°, I = 100
- 39.12°, I = 79
- 46.23°, I = 3
- 48.41°, I = 29
- 56.51°, I = 14
- 62.11°, I = 1
- 63.92°, I = 38
- 70.88°, I = 28
- 75.90°, I = 1
- 84.05°, I = 8
- 84.11°, I = 1

---

3.
This entry pairs a crystal structure of Li3CaPb with its theoretical powder XRD pattern. Radiation: Cu Kα X-rays. Structure: a structure optimized by DFT (PBE).
Peak positions follow from Bragg's law for the DFT cell and can differ from measured ones.

Crystal structure
Cell: 3.734 4.924 7.545 Å, 108.84 104.19 90.05°
Atoms (fractional coordinates):
1 Li 0.000 0.000 0.000
2 Li 0.136 0.635 0.268
3 Li 0.457 0.455 0.913
4 Ca 0.752 0.251 0.502
5 Pb 0.339 0.839 0.677

Most intense lines, 10° ≤ 2θ ≤ 90°, in order of rising 2θ:
- 12.84°, I = 100
- 19.14°, I = 48
- 24.70°, I = 27
- 25.84°, I = 13
- 26.52°, I = 34
- 30.03°, I = 34
- 30.85°, I = 24
- 32.78°, I = 48
- 38.84°, I = 14
- 40.00°, I = 15
- 40.66°, I = 15
- 44.57°, I = 12

---

4.
This entry pairs a crystal structure of LiCa3Np2N6 with its theoretical powder XRD pattern. Radiation: Cu Kα X-rays. Structure: a structure optimized by DFT (PBE).
Peak positions follow from Bragg's law for the DFT cell and can differ from measured ones.

Crystal structure
Cell: 7.345 7.345 7.013 Å, 104.59 104.59 27.79°
Atoms (fractional coordinates):
1 Li 0.000 0.000 0.000
2 Ca 0.000 0.000 0.500
3 Ca 0.342 0.342 0.156
4 Ca 0.658 0.658 0.844
5 Np 0.337 0.337 0.681
6 Np 0.663 0.663 0.319
7 N 0.166 0.166 0.112
8 N 0.183 0.183 0.576
9 N 0.479 0.479 0.728
10 N 0.521 0.521 0.272
11 N 0.817 0.817 0.424
12 N 0.834 0.834 0.888

Most intense lines, 10° ≤ 2θ ≤ 90°, in order of rising 2θ:
- 12.86°, I = 45
- 13.07°, I = 38
- 15.79°, I = 83
- 20.64°, I = 30
- 25.84°, I = 29
- 26.09°, I = 32
- 30.04°, I = 34
- 31.96°, I = 100
- 32.35°, I = 32
- 36.12°, I = 82
- 39.25°, I = 31
- 54.09°, I = 27

---

5.
This entry pairs a crystal structure of PrZnPdAu with its theoretical powder XRD pattern. Radiation: Cu Kα X-rays. Structure: a structure optimized by DFT (PBE).
Peak positions follow from Bragg's law for the DFT cell and can differ from measured ones.

Crystal structure
Cell: 4.522 4.522 5.473 Å, 114.41 114.41 60.18°
Atoms (fractional coordinates):
1 Pr 0.000 0.000 0.000
2 Zn 0.488 0.488 0.465
3 Pd 0.786 0.786 0.359
4 Au 0.215 0.215 0.643

Most intense lines, 10° ≤ 2θ ≤ 90°, in order of rising 2θ:
- 18.45°, I = 15
- 23.52°, I = 41
- 33.77°, I = 100
- 38.75°, I = 53
- 39.76°, I = 34
- 39.87°, I = 68
- 50.00°, I = 10
- 53.13°, I = 18
- 56.78°, I = 17
- 68.51°, I = 17
- 69.42°, I = 11
- 72.21°, I = 23

---

6.
This entry pairs a crystal structure of Pr3Dy3Cd2 with its theoretical powder XRD pattern. Radiation: Cu Kα X-rays. Structure: a structure optimized by DFT (PBE).
Peak positions follow from Bragg's law for the DFT cell and can differ from measured ones.

Crystal structure
Cell: 6.505 6.505 15.925 Å, 90.00 90.00 131.66°
Atoms (fractional coordinates):
1 Pr 0.038 0.962 0.607
2 Pr 0.038 0.962 0.893
3 Pr 0.269 0.731 0.750
4 Pr 0.731 0.269 0.250
5 Pr 0.962 0.038 0.107
6 Pr 0.962 0.038 0.393
7 Dy 0.357 0.643 0.535
8 Dy 0.357 0.643 0.965
9 Dy 0.452 0.548 0.250
10 Dy 0.548 0.452 0.750
11 Dy 0.643 0.357 0.035
12 Dy 0.643 0.357 0.465
13 Cd 0.235 0.765 0.133
14 Cd 0.235 0.765 0.367
15 Cd 0.765 0.235 0.633
16 Cd 0.765 0.235 0.867

Most intense lines, 10° ≤ 2θ ≤ 90°, in order of rising 2θ:
- 28.09°, I = 22
- 28.99°, I = 83
- 30.30°, I = 31
- 30.65°, I = 23
- 32.19°, I = 18
- 32.86°, I = 78
- 33.65°, I = 100
- 40.09°, I = 14
- 46.16°, I = 16
- 47.28°, I = 17
- 57.35°, I = 12
- 59.68°, I = 14

---

7.
This entry pairs a crystal structure of Mg3RePt12 with its theoretical powder XRD pattern. Radiation: Cu Kα X-rays. Structure: a structure optimized by DFT (PBE).
Peak positions follow from Bragg's law for the DFT cell and can differ from measured ones.

Crystal structure
Cell: 3.949 3.949 15.904 Å, 90.00 90.00 90.00°
Atoms (fractional coordinates):
1 Mg 0.000 0.000 0.000
2 Mg 0.000 0.000 0.247
3 Mg 0.000 0.000 0.753
4 Re 0.000 0.000 0.500
5 Pt 0.000 0.500 0.125
6 Pt 0.000 0.500 0.379
7 Pt 0.000 0.500 0.621
8 Pt 0.000 0.500 0.875
9 Pt 0.500 0.000 0.125
10 Pt 0.500 0.000 0.379
11 Pt 0.500 0.000 0.621
12 Pt 0.500 0.000 0.875
13 Pt 0.500 0.500 0.000
14 Pt 0.500 0.500 0.251
15 Pt 0.500 0.500 0.500
16 Pt 0.500 0.500 0.749

Most intense lines, 10° ≤ 2θ ≤ 90°, in order of rising 2θ:
- 22.36°, I = 4
- 22.51°, I = 8
- 31.94°, I = 7
- 39.43°, I = 100
- 45.63°, I = 16
- 45.96°, I = 33
- 51.73°, I = 4
- 66.77°, I = 21
- 67.03°, I = 11
- 80.16°, I = 13
- 80.64°, I = 26
- 84.86°, I = 11